# YCoSi
Simulated powder diffractogram, Cu Kα. Input: a DFT-relaxed cell (GGA-PBE, the Materials Project).

Main lines, by angle (2θ from 10° to 80°):
| 2θ/deg | intensity |
| --- | --- |
| 35.80 | 87 |
| 36.37 | 100 |
| 36.51 | 35 |
| 41.69 | 34 |
| 43.67 | 44 |
| 44.04 | 44 |

Cell and atoms:
```
data_YCoSi
_space_group_name_H-M_alt 'P n m a'
_space_group_IT_number 62
_cell_length_a 6.825
_cell_length_b 4.145
_cell_length_c 7.105
_cell_angle_alpha 90.00
_cell_angle_beta 90.00
_cell_angle_gamma 90.00
loop_
_space_group_symop_operation_xyz
'x,y,z'
'-x,-y,-z'
'-x+1/2,-y,z+1/2'
'x+1/2,y,-z+1/2'
'x+1/2,-y+1/2,-z+1/2'
'-x+1/2,y+1/2,z+1/2'
'-x,y+1/2,-z'
'x,-y+1/2,z'
loop_
_atom_site_label
_atom_site_type_symbol
_atom_site_fract_x
_atom_site_fract_y
_atom_site_fract_z
Y1 Y 0.010 0.250 0.193
Co1 Co 0.150 0.750 0.433
Si1 Si 0.196 0.250 0.599
```